1.
LiZrAl: simulated powder XRD pattern (Cu Kα X-rays), based on a DFT-relaxed cell (PBE, Alexandria).
Kinematic intensities with the Lorentz-polarization factor, no thermal factor.

Crystal structure
a b c (Å): 3.817 14.110 4.329
angles (deg): 90.00 90.00 90.00
Space group Cmmm (No. 65)
Unique sites:
Li  0.000  0.000  0.000 (multiplicity 2)
Li  0.000  0.500  0.500 (multiplicity 2)
Zr  0.000  0.168  0.500 (multiplicity 4)
Al  0.000  0.324  0.000 (multiplicity 4)

Principal peaks in the range 2θ from 5° to 70°, by angle:
2theta  d (Å)  intensity  h k l
12.5  7.055  80  0 2 0
20.5  4.329  31  0 0 1
24.1  3.687  21  1 1 0
30.2  2.964  24  1 3 0
31.9  2.806  27  1 1 1
36.7  2.446  100  1 3 1
38.3  2.352  22  0 6 0
41.7  2.164  17  0 0 2
43.8  2.068  16  0 6 1
68.2  1.375  16  1 9 1

2.
LuMg16Al12: simulated powder XRD pattern (Cu Kα X-rays), based on a DFT-relaxed cell (PBE, Alexandria).
Kinematic intensities with the Lorentz-polarization factor, no thermal factor.

Crystal structure
a b c (Å): 10.541 10.541 10.541
angles (deg): 90.00 90.00 90.00
Space group I-43m (No. 217)
Unique sites:
Lu  0.000  0.000  0.000 (multiplicity 2)
Mg  0.038  0.357  0.643 (multiplicity 24)
Mg  0.178  0.178  0.178 (multiplicity 8)
Al  0.090  0.090  0.724 (multiplicity 24)

Principal peaks in the range 2θ from 5° to 70°, by angle:
2theta  d (Å)  intensity  h k l
11.9  7.454  51  1 1 0
20.6  4.303  24  2 1 1
26.7  3.333  14  3 1 0
31.8  2.817  25  3 2 1
36.2  2.485  100  3 3 0
40.1  2.247  20  3 3 2
42.0  2.152  17  4 2 2
47.2  1.925  12  5 2 1
62.3  1.491  14  5 5 0
65.0  1.434  29  7 2 1

3.
LuMn4Al8: simulated powder XRD pattern (Cu Kα X-rays), based on a DFT-relaxed cell (PBE, Alexandria).
Kinematic intensities with the Lorentz-polarization factor, no thermal factor.

Crystal structure
a b c (Å): 8.720 8.720 5.159
angles (deg): 90.00 90.00 90.00
Space group I4/mmm (No. 139)
Unique sites:
Lu  0.000  0.000  0.000 (multiplicity 2)
Mn  0.250  0.250  0.250 (multiplicity 8)
Al  0.000  0.224  0.500 (multiplicity 8)
Al  0.000  0.335  0.000 (multiplicity 8)

Principal peaks in the range 2θ from 5° to 70°, by angle:
2theta  d (Å)  intensity  h k l
14.4  6.166  62  1 1 0
20.0  4.440  61  1 0 1
28.7  3.111  73  2 1 1
29.0  3.083  41  2 2 0
32.5  2.758  34  3 1 0
35.4  2.533  51  3 0 1
40.6  2.220  100  2 0 2
41.2  2.190  81  3 2 1
41.4  2.180  69  4 0 0
59.4  1.556  38  4 2 2